Diffraction record for GdGa2. The powder diffraction line list is simulated, not measured: it uses a cell relaxed with PBE and Cu Kα.
No peak broadening, texture or thermal motion is included.

The 10 most intense peaks (2θ from 5° to 70°), low angle first:
hkl 1 0 0, 24.19°, I 13; hkl 1 0 1, 32.41°, I 100; hkl 1 1 0, 42.56°, I 41; hkl 0 0 2, 43.26°, I 13; hkl 2 0 0, 49.55°, I 2; hkl 1 0 2, 50.18°, I 4; hkl 2 0 1, 54.49°, I 23; hkl 1 1 2, 62.30°, I 26; hkl 2 1 0, 67.34°, I 2; hkl 2 0 2, 67.85°, I 2

Atomic structure:
```
data_GdGa2
_cell_length_a 4.248
_cell_length_b 4.248
_cell_length_c 4.183
_cell_angle_alpha 90.00
_cell_angle_beta 90.00
_cell_angle_gamma 120.00
_space_group_name_H-M_alt 'P 1'
_space_group_IT_number 1
_space_group_name_Hall 'P 1'
loop_
_atom_site_label
_atom_site_type_symbol
_atom_site_fract_x
_atom_site_fract_y
_atom_site_fract_z
Gd1 Gd 0.000 0.000 0.000
Ga1 Ga 0.333 0.667 0.500
Ga2 Ga 0.667 0.333 0.500
```